The following is a computed powder XRD pattern of Na3YSiSnP2O12. It was derived from a GGA-PBE-relaxed structure, using a wavelength of 1.5418 Å.
Lines closer than 0.1° are merged.

The 8 most intense peaks (2θ = 10–90°), by intensity:
2θ (°)  intensity
19.16  100
19.27  62
33.56  52
30.40  43
27.11  42
30.66  38
33.76  37
30.29  36

Atomic structure:
Cell: 9.2125 9.2125 9.3386 Å, 120.06 120.06 60.40°
Positions (direct):
Na 0.0789 0.9211 0.5000
Na 0.2413 0.4129 0.9640
Na 0.3447 0.8004 0.2049
Na 0.4129 0.2413 0.4640
Na 0.8004 0.3447 0.7049
Na 0.9211 0.0789 0.0000
Y 0.1787 0.6717 0.7668
Y 0.6717 0.1787 0.2668
Si 0.3607 0.5801 0.4489
Si 0.5801 0.3607 0.9489
Sn 0.4764 0.9612 0.6446
Sn 0.9612 0.4764 0.1446
P 0.0819 0.2629 0.4534
P 0.2629 0.0819 0.9534
P 0.7688 0.8587 0.4538
P 0.8587 0.7688 0.9538
O 0.0316 0.7510 0.9471
O 0.0404 0.2965 0.2838
O 0.0922 0.2523 0.9552
O 0.1233 0.4175 0.6189
O 0.1887 0.5392 0.2620
O 0.2213 0.9366 0.9478
O 0.2523 0.0922 0.4552
O 0.2965 0.0404 0.7838
O 0.3028 0.6301 0.6076
O 0.3732 0.7599 0.4596
O 0.4088 0.5387 0.9528
O 0.4175 0.1233 0.1189
O 0.5392 0.1887 0.7620
O 0.5387 0.4088 0.4528
O 0.5882 0.8814 0.4525
O 0.6301 0.3028 0.1076
O 0.6991 0.8033 0.7854
O 0.7510 0.0316 0.4471
O 0.7599 0.3732 0.9596
O 0.8033 0.6991 0.2854
O 0.8308 0.9213 0.1201
O 0.8814 0.5882 0.9525
O 0.9213 0.8308 0.6201
O 0.9366 0.2213 0.4478